[1]
Calculated PXRD pattern
Compound: Mg4SiGe
Radiation: Cu Kα X-rays
Structure: a crystal structure in the Materials Project, relaxed with GGA-PBE

Main lines, most intense first (2θ = 5–70°):
2theta  intensity
39.9  100
24.1  66
47.2  31
57.7  16
12.0  14
63.4  12
23.1  10
30.5  5
41.8  5
36.5  4

Unit cell a=7.8241 b=7.8241 c=7.8241 alpha=33.59 beta=33.59 gamma=33.59
Sites, in units of the cell vectors:
Mg 0.1247 0.1247 0.1247
Mg 0.3747 0.3747 0.3747
Mg 0.6253 0.6253 0.6253
Mg 0.8753 0.8753 0.8753
Si 0.0000 0.0000 0.0000
Ge 0.5000 0.5000 0.5000



[2]
Calculated PXRD pattern
Compound: LiCa2InGe2
Radiation: Cu Kα X-rays
Structure: a crystal structure in the Materials Project, relaxed with GGA-PBE

Main lines, most intense first (2θ = 5–70°):
2theta  intensity
33.2  100
40.5  68
35.6  39
24.5  37
32.2  34
16.0  32
31.7  32
31.6  30
41.7  27
20.6  26

Unit cell a=7.2783 b=4.4584 c=16.9605 alpha=90.00 beta=90.00 gamma=90.00
Sites, in units of the cell vectors:
Li 0.0131 0.2500 0.0676
Li 0.4869 0.7500 0.5676
Li 0.5131 0.2500 0.4324
Li 0.9869 0.7500 0.9324
Ca 0.0090 0.2500 0.7792
Ca 0.1574 0.2500 0.5623
Ca 0.3426 0.7500 0.0623
Ca 0.4910 0.7500 0.2792
Ca 0.5090 0.2500 0.7208
Ca 0.6574 0.2500 0.9377
Ca 0.8426 0.7500 0.4377
Ca 0.9910 0.7500 0.2208
In 0.1594 0.2500 0.3469
In 0.3406 0.7500 0.8469
In 0.6594 0.2500 0.1531
In 0.8406 0.7500 0.6531
Ge 0.2246 0.7500 0.6854
Ge 0.2264 0.2500 0.9372
Ge 0.2736 0.7500 0.4372
Ge 0.2754 0.2500 0.1854
Ge 0.7246 0.7500 0.8146
Ge 0.7264 0.2500 0.5628
Ge 0.7736 0.7500 0.0628
Ge 0.7754 0.2500 0.3146



[3]
Calculated PXRD pattern
Compound: CeCo2Ge2
Radiation: Cu Kα X-rays
Structure: a crystal structure in the Materials Project, relaxed with GGA-PBE

Main lines, most intense first (2θ = 5–70°):
2theta  intensity
34.9  100
36.0  85
44.3  64
57.6  46
31.0  28
51.2  24
65.0  21
64.5  20
48.4  10
23.5  6

Unit cell a=5.7398 b=5.7398 c=5.7398 alpha=138.30 beta=138.30 gamma=60.45
Sites, in units of the cell vectors:
Ce 0.0000 0.0000 0.0000
Co 0.2500 0.7500 0.5000
Co 0.7500 0.2500 0.5000
Ge 0.3676 0.3676 0.0000
Ge 0.6324 0.6324 0.0000



[4]
Calculated PXRD pattern
Compound: Ga3Pb
Radiation: Cu Kα X-rays
Structure: a crystal structure in the Materials Project, relaxed with GGA-PBE

Main lines, most intense first (2θ = 5–70°):
2theta  intensity
36.0  100
34.6  56
63.0  39
21.6  33
49.8  20
65.7  17
41.1  13
24.3  13
53.9  8
43.6  6

Unit cell a=4.9997 b=4.9997 c=4.9997 alpha=117.57 beta=117.57 gamma=94.27
Sites, in units of the cell vectors:
Ga 0.0000 0.0000 0.0000
Ga 0.2500 0.7500 0.5000
Ga 0.7500 0.2500 0.5000
Pb 0.5000 0.5000 0.0000



[5]
Calculated PXRD pattern
Compound: La3Hg
Radiation: Cu Kα X-rays
Structure: a crystal structure in the Materials Project, relaxed with GGA-PBE

Main lines, most intense first (2θ = 5–70°):
2theta  intensity
32.7  100
31.9  24
28.4  24
60.8  22
57.3  20
50.3  19
43.2  16
61.3  16
14.1  5
68.4  4

Unit cell a=7.2576 b=7.2576 c=5.6089 alpha=90.00 beta=90.00 gamma=120.00
Sites, in units of the cell vectors:
La 0.1768 0.3535 0.2500
La 0.1768 0.8232 0.2500
La 0.3535 0.1768 0.7500
La 0.6465 0.8232 0.2500
La 0.8232 0.1768 0.7500
La 0.8232 0.6465 0.7500
Hg 0.3333 0.6667 0.7500
Hg 0.6667 0.3333 0.2500



[6]
Calculated PXRD pattern
Compound: Sr2MgIn
Radiation: Cu Kα X-rays
Structure: a crystal structure in the Materials Project, relaxed with GGA-PBE

Main lines, most intense first (2θ = 5–70°):
2theta  intensity
30.7  100
54.6  38
44.0  18
18.7  18
64.0  12
36.2  10
48.2  5
58.3  3
67.3  3
21.6  1

Unit cell a=5.8183 b=5.8183 c=5.8183 alpha=60.00 beta=60.00 gamma=60.00
Sites, in units of the cell vectors:
Sr 0.2500 0.2500 0.2500
Sr 0.7500 0.7500 0.7500
Mg 0.0000 0.0000 0.0000
In 0.5000 0.5000 0.5000



[7]
Calculated PXRD pattern
Compound: ErSe2
Radiation: Cu Kα X-rays
Structure: a crystal structure in the Materials Project, relaxed with GGA-PBE

Main lines, most intense first (2θ = 5–70°):
2theta  intensity
38.2  100
33.1  64
39.5  62
24.5  60
44.8  57
31.2  40
61.2  34
32.4  30
56.4  25
65.2  19

Unit cell a=4.0487 b=4.0487 c=8.2822 alpha=90.00 beta=90.00 gamma=90.00
Sites, in units of the cell vectors:
Er 0.2500 0.2500 0.2261
Er 0.7500 0.7500 0.7739
Se 0.2500 0.2500 0.8704
Se 0.2500 0.7500 0.5000
Se 0.7500 0.2500 0.5000
Se 0.7500 0.7500 0.1296



[8]
Calculated PXRD pattern
Compound: SrEuInBiO6
Radiation: Cu Kα X-rays
Structure: a crystal structure in the Materials Project, relaxed with GGA-PBE

Main lines, most intense first (2θ = 5–70°):
2theta  intensity
29.8  100
52.9  41
42.7  29
61.9  18
18.1  9
21.0  6
35.1  6
46.7  3
48.0  3
65.1  2

Unit cell a=5.9920 b=5.9920 c=5.9920 alpha=60.00 beta=60.00 gamma=60.00
Sites, in units of the cell vectors:
Sr 0.0000 0.0000 0.0000
Eu 0.5000 0.5000 0.5000
In 0.7500 0.7500 0.7500
Bi 0.2500 0.2500 0.2500
O 0.0007 0.0007 0.4993
O 0.0007 0.4993 0.0007
O 0.0007 0.4993 0.4993
O 0.4993 0.0007 0.0007
O 0.4993 0.0007 0.4993
O 0.4993 0.4993 0.0007



[9]
Calculated PXRD pattern
Compound: In9Pb4S17
Radiation: Cu Kα X-rays
Structure: a crystal structure in the Materials Project, relaxed with GGA-PBE

Main lines, most intense first (2θ = 5–70°):
2theta  intensity
25.8  100
32.2  80
23.2  51
33.2  45
30.6  43
46.5  43
26.7  39
27.7  27
24.3  27
43.0  22

Unit cell a=15.4883 b=23.0262 c=3.9050 alpha=90.00 beta=90.00 gamma=90.00
Sites, in units of the cell vectors:
In 0.0000 0.0000 0.0000
In 0.0513 0.4220 0.0000
In 0.0670 0.1359 0.5000
In 0.1676 0.2609 0.0000
In 0.2307 0.8899 0.5000
In 0.2693 0.3899 0.5000
In 0.3324 0.7609 0.0000
In 0.4330 0.6359 0.5000
In 0.4487 0.9220 0.0000
In 0.5000 0.5000 0.0000
In 0.5513 0.0780 0.0000
In 0.5670 0.3641 0.5000
In 0.6676 0.2391 0.0000
In 0.7307 0.6101 0.5000
In 0.7693 0.1101 0.5000
In 0.8324 0.7391 0.0000
In 0.9330 0.8641 0.5000
In 0.9487 0.5780 0.0000
Pb 0.0918 0.7189 0.5000
Pb 0.2051 0.5638 0.5000
Pb 0.2949 0.0638 0.5000
Pb 0.4082 0.2189 0.5000
Pb 0.5918 0.7811 0.5000
Pb 0.7051 0.9362 0.5000
Pb 0.7949 0.4362 0.5000
Pb 0.9082 0.2811 0.5000
S 0.0000 0.5000 0.5000
S 0.0209 0.2100 0.0000
S 0.0674 0.9332 0.5000
S 0.1021 0.6273 0.0000
S 0.1041 0.3431 0.5000
S 0.1315 0.0710 0.0000
S 0.1915 0.8179 0.0000
S 0.2129 0.4596 0.0000
S 0.2193 0.1937 0.5000
S 0.2807 0.6937 0.5000
S 0.2871 0.9596 0.0000
S 0.3085 0.3179 0.0000
S 0.3685 0.5710 0.0000
S 0.3959 0.8431 0.5000
S 0.3979 0.1273 0.0000
S 0.4326 0.4332 0.5000
S 0.4791 0.7100 0.0000
S 0.5000 0.0000 0.5000
S 0.5209 0.2900 0.0000
S 0.5674 0.5668 0.5000
S 0.6021 0.8727 0.0000
S 0.6041 0.1569 0.5000
S 0.6315 0.4290 0.0000
S 0.6915 0.6821 0.0000
S 0.7129 0.0404 0.0000
S 0.7193 0.3063 0.5000
S 0.7807 0.8063 0.5000
S 0.7871 0.5404 0.0000
S 0.8085 0.1821 0.0000
S 0.8685 0.9290 0.0000
S 0.8959 0.6569 0.5000
S 0.8979 0.3727 0.0000
S 0.9326 0.0668 0.5000
S 0.9791 0.7900 0.0000